For Rb3Y3USe8, a crystal structure in Alexandria, relaxed with GGA-PBE gives the simulated powder XRD pattern in this record (Cu Kα, 1.54184 Å).
Lines closer than 0.1° are merged.

Largest 12 diffraction maxima, in order of rising 2θ, 2θ from 10° to 90°:
two_theta	I (rel.)
10.87	39
12.69	19
23.83	8
28.55	100
35.65	16
38.49	32
43.05	36
44.53	11
48.00	10
52.47	18
59.10	9
70.16	10

```
Rb3Y3USe8
1.0
7.2725 -4.2057 0.0000
7.2725 4.2057 0.0000
-4.8400 0.0000 8.1412
Rb Y U Se
3 3 1 8
Direct
0.0000 0.0000 0.0000 Rb
0.0000 0.5000 0.0000 Rb
0.5000 0.0000 0.0000 Rb
0.0000 0.5000 0.5000 Y
0.5000 0.0000 0.5000 Y
0.5000 0.5000 0.5000 Y
0.0000 0.0000 0.5000 U
0.2285 0.2285 0.6912 Se
0.2287 0.7339 0.6912 Se
0.2661 0.7713 0.3088 Se
0.2685 0.2685 0.3053 Se
0.7315 0.7315 0.6947 Se
0.7339 0.2287 0.6912 Se
0.7713 0.2661 0.3088 Se
0.7715 0.7715 0.3088 Se
```